For SbHI2, a cell relaxed with PBE gives the computed powder diffraction line list in this record (Cu Kα (λ = 1.5418 Å)).
Lines closer than 0.1° are merged.

Structure:
```
data_SbHI2
_symmetry_space_group_name_H-M 'P 1'
_symmetry_Int_Tables_number 1
_cell_length_a 4.400
_cell_length_b 8.260
_cell_length_c 8.687
_cell_angle_alpha 92.36
_cell_angle_beta 93.81
_cell_angle_gamma 103.98
loop_
_symmetry_equiv_pos_as_xyz
'x,y,z'
loop_
_atom_site_label
_atom_site_type_symbol
_atom_site_fract_x
_atom_site_fract_y
_atom_site_fract_z
Sb1 Sb 0.000 0.000 0.000
Sb2 Sb 0.403 0.385 0.699
H1 H 0.022 0.972 0.197
H2 H 0.802 0.487 0.732
I1 I 0.347 0.556 0.435
I2 I 0.392 0.731 0.986
I3 I 0.560 0.098 0.579
I4 I 0.642 0.257 0.081
```

Main lines, in order of rising 2θ (2θ from 10° to 90°):
hkl  two_theta  d/Å  I (rel.)
0 1 1  15.5  5.709  51
0 0 2  20.5  4.326  92
1 0 0  20.9  4.256  69
0 1 -2  22.8  3.903  100
0 2 1  25.1  3.552  45
1 1 0  26.0  3.426  69
-1 2 1  28.4  3.141  95
1 -1 2  30.3  2.949  40
-1 2 2  33.6  2.666  50
1 -3 1  36.5  2.461  42